# 1
Structure and simulated powder diffraction line list of Ba12Pd5Br (a GGA-PBE-relaxed structure; CuKα).

Cell and atoms:
```
Ba12Pd5Br
1.0
4.063 -7.046 0.000
4.063 7.046 0.000
-2.676 0.000 15.134
Ba Pd Br
12 5 1
Cartesian
1.355 2.345 1.723
-0.157 0.000 5.736
1.291 2.497 9.389
0.039 0.000 13.414
1.355 -2.345 1.723
4.158 2.497 5.745
1.291 -2.497 9.389
4.094 2.345 13.411
5.411 0.000 1.720
4.158 -2.497 5.745
5.606 0.000 9.397
4.094 -2.345 13.411
0.000 0.000 0.000
2.725 4.702 7.567
4.063 2.355 0.000
4.063 -2.355 0.000
2.725 -4.702 7.567
2.725 0.000 7.567
```

Principal peaks in the range 15 to 90 degrees two-theta, in order of rising 2θ:
Position (°2θ)  d (Å)  I_rel
23.98  3.710  100
25.86  3.445  90
26.98  3.305  36
29.49  3.029  63
35.41  2.535  35
38.35  2.347  83
38.70  2.327  28
40.23  2.242  19
45.75  1.983  20
63.09  1.474  22


# 2
Structure and simulated powder diffraction line list of BaPm2Br8 (a GGA-PBE-relaxed structure; CuKα).

Cell and atoms:
```
BaPm2Br8
1.0
8.440 -3.557 0.000
8.440 3.557 0.000
-2.362 0.000 6.474
Ba Pm Br
1 2 8
Cartesian
0.000 0.000 0.000
2.711 0.000 5.287
11.807 0.000 1.187
5.721 1.776 1.085
2.303 0.000 2.407
8.797 1.776 5.389
5.422 0.000 4.753
9.096 0.000 1.721
5.721 -1.776 1.085
12.214 0.000 4.067
8.797 -1.776 5.389
```

Principal peaks in the range 15 to 90 degrees two-theta, in order of rising 2θ:
Position (°2θ)  d (Å)  I_rel
20.69  4.292  43
21.66  4.104  40
25.04  3.557  25
29.00  3.079  100
29.58  3.020  31
31.89  2.806  33
32.58  2.748  90
33.86  2.647  50
39.62  2.275  29
51.40  1.778  34


# 3
Structure and simulated powder diffraction line list of Rb2BaPmBr8 (a GGA-PBE-relaxed structure; CuKα).

Cell and atoms:
```
Rb2BaPmBr8
1.0
6.628 0.000 0.000
0.836 7.793 0.000
0.002 0.008 9.766
Rb Ba Pm Br
2 1 1 8
Cartesian
0.002 0.006 2.353
7.463 7.795 7.413
3.733 3.900 4.883
3.732 3.896 0.000
0.898 5.514 4.882
1.218 5.312 0.005
3.073 2.067 7.606
3.075 2.062 2.164
4.391 5.738 7.602
4.392 5.734 2.160
6.247 2.489 9.761
6.567 2.287 4.884
```

Principal peaks in the range 15 to 90 degrees two-theta, in order of rising 2θ:
Position (°2θ)  d (Å)  I_rel
16.67  5.319  28
18.54  4.786  24
21.48  4.138  65
27.06  3.295  47
30.57  2.925  21
31.31  2.857  100
33.43  2.681  50
35.78  2.509  29
36.81  2.441  29
46.28  1.962  19


# 4
Structure and simulated powder diffraction line list of BaPrBr (a GGA-PBE-relaxed structure; CuKα).

Cell and atoms:
```
BaPrBr
1.0
16.114 0.000 0.000
0.000 2.005 3.473
0.000 -2.005 3.473
Ba Pr Br
2 2 2
Cartesian
3.265 0.000 0.000
12.850 0.000 0.000
0.000 0.000 4.635
8.057 0.000 6.940
5.930 0.000 4.625
10.184 0.000 4.625
```

Principal peaks in the range 15 to 90 degrees two-theta, in order of rising 2θ:
Position (°2θ)  d (Å)  I_rel
25.65  3.473  37
27.68  3.223  9
27.98  3.189  14
30.65  2.916  100
34.08  2.630  16
45.22  2.005  30
47.38  1.919  14
55.62  1.652  18
57.35  1.607  9
74.40  1.275  15


# 5
Structure and simulated powder diffraction line list of BaPrBr2 (a GGA-PBE-relaxed structure; CuKα).

Cell and atoms:
```
BaPrBr2
1.0
2.004 1.157 10.797
-2.004 1.157 10.797
0.000 -2.314 10.797
Ba Pr Br
1 1 2
Cartesian
0.000 0.000 0.000
0.000 0.000 16.195
0.000 0.000 3.308
0.000 0.000 29.082
```

Principal peaks in the range 15 to 90 degrees two-theta, in order of rising 2θ:
Position (°2θ)  d (Å)  I_rel
16.42  5.398  21
26.26  3.394  100
29.19  3.059  23
34.02  2.635  58
38.00  2.368  69
45.25  2.004  42
57.26  1.609  20
60.53  1.530  19
63.36  1.468  20
78.70  1.216  17


# 6
Structure and simulated powder diffraction line list of Ba3PtBr3 (a GGA-PBE-relaxed structure; CuKα).

Cell and atoms:
```
Ba3PtBr3
1.0
-6.657 6.657 6.657
6.657 -6.657 6.657
6.657 6.657 -6.657
Ba Pt Br
12 4 12
Cartesian
1.762 1.664 -1.566
8.224 1.762 -1.664
1.664 -1.566 1.762
5.091 4.895 -1.664
4.895 1.664 1.566
-1.566 1.762 1.664
4.895 -1.664 5.091
1.664 1.566 4.895
1.566 4.895 1.664
1.762 -1.664 8.224
-1.664 8.224 1.762
-1.664 5.091 4.895
4.993 1.664 -1.664
1.664 1.664 1.664
1.664 -1.664 4.993
-1.664 4.993 1.664
5.026 4.993 -4.960
4.960 -1.632 1.664
4.993 -4.960 5.026
1.664 4.960 -1.632
8.322 1.697 1.632
4.993 4.960 1.632
-1.632 1.664 4.960
4.960 1.632 4.993
1.632 4.993 4.960
1.697 1.632 8.322
-4.960 5.026 4.993
1.632 8.322 1.697
```

Principal peaks in the range 15 to 90 degrees two-theta, in order of rising 2θ:
Position (°2θ)  d (Å)  I_rel
21.10  4.210  11
26.78  3.329  100
28.44  3.138  10
34.34  2.611  15
38.24  2.354  76
47.30  1.922  27
55.19  1.664  13
62.38  1.489  35
69.12  1.359  26
88.02  1.110  17